Diffraction record for V2Te2O7F2. The powder XRD pattern is simulated, not measured: it uses a structure optimized by DFT (PBE+U) and λ = 1.5418 Å (Cu Kα).
Lines closer than 0.1° are merged.

Cell and atoms:
Cell: 4.962 5.342 7.297 Å, 71.18 88.84 88.57°
Atoms (fractional coordinates):
V  0.234  0.153  0.364
V  0.766  0.847  0.636
Te  0.274  0.186  0.827
Te  0.726  0.814  0.173
O  0.000  0.000  0.000
O  0.074  0.091  0.628
O  0.118  0.448  0.235
O  0.473  0.107  0.140
O  0.527  0.893  0.860
O  0.882  0.552  0.765
O  0.926  0.909  0.372
F  0.445  0.764  0.510
F  0.555  0.236  0.490

Largest 12 diffraction maxima, low angle first, 10° ≤ 2θ ≤ 90°:
2θ/deg	I_rel
17.54	77.9
18.10	31.1
24.91	100.0
25.40	67.0
26.14	33.8
31.43	71.4
31.77	37.4
32.25	27.4
35.91	19.5
40.36	33.1
51.93	29.2
54.48	20.1